# CuW2Br6
Simulated X-ray diffraction stick pattern, a wavelength of 1.5418 Å. Input: a cell relaxed with PBE.
Lines closer than 0.1° are merged.

Largest 12 diffraction maxima, low angle first, 2θ = 10–90°:
| 2θ (°) | I (rel.) |
| --- | --- |
| 12.14 | 100 |
| 13.74 | 42 |
| 18.37 | 77 |
| 23.24 | 35 |
| 24.41 | 30 |
| 29.06 | 50 |
| 33.60 | 73 |
| 35.69 | 41 |
| 36.97 | 50 |
| 45.69 | 38 |
| 49.83 | 65 |
| 52.33 | 38 |

Unit cell a=10.051 b=10.051 c=10.051 alpha=151.01 beta=100.27 gamma=86.96
Element x y z (fractional)
Cu 0.250 0.250 0.000
Cu 0.750 0.750 0.000
W 0.208 0.207 0.415
W 0.292 0.707 0.999
W 0.708 0.293 0.001
W 0.792 0.793 0.585
Br 0.024 0.909 0.613
Br 0.100 0.753 0.853
Br 0.204 0.591 0.115
Br 0.296 0.411 0.387
Br 0.400 0.253 0.653
Br 0.476 0.089 0.885
Br 0.524 0.911 0.115
Br 0.600 0.747 0.347
Br 0.704 0.589 0.613
Br 0.796 0.409 0.885
Br 0.900 0.247 0.147
Br 0.976 0.091 0.387

# NaPa2Cu2S6
Simulated X-ray diffraction stick pattern, a wavelength of 1.5418 Å. Input: a cell relaxed with PBE.
Lines closer than 0.1° are merged.

Largest 12 diffraction maxima, low angle first, 2θ = 10–90°:
| 2θ (°) | I (rel.) |
| --- | --- |
| 14.54 | 67 |
| 14.91 | 34 |
| 15.28 | 54 |
| 15.49 | 27 |
| 17.37 | 26 |
| 24.86 | 23 |
| 25.53 | 25 |
| 28.76 | 45 |
| 29.35 | 100 |
| 38.59 | 24 |
| 38.96 | 36 |
| 44.53 | 24 |

Unit cell a=6.980 b=7.128 c=7.236 alpha=62.50 beta=62.14 gamma=61.03
Element x y z (fractional)
Na 0.000 0.000 0.000
Pa 0.326 0.329 0.015
Pa 0.674 0.671 0.985
Cu 0.462 0.685 0.565
Cu 0.538 0.315 0.435
S 0.093 0.708 0.763
S 0.291 0.564 0.240
S 0.431 0.078 0.766
S 0.569 0.922 0.234
S 0.709 0.436 0.760
S 0.907 0.292 0.237

# Cs3Na2CeF9
Simulated X-ray diffraction stick pattern, a wavelength of 1.5418 Å. Input: a cell relaxed with PBE.
Lines closer than 0.1° are merged.

Largest 12 diffraction maxima, low angle first, 2θ = 10–90°:
| 2θ (°) | I (rel.) |
| --- | --- |
| 15.72 | 19 |
| 19.04 | 45 |
| 26.71 | 100 |
| 27.40 | 88 |
| 33.58 | 31 |
| 36.23 | 16 |
| 38.64 | 70 |
| 48.02 | 42 |
| 48.44 | 18 |
| 52.37 | 23 |
| 56.55 | 22 |
| 63.61 | 18 |

Unit cell a=6.510 b=6.510 c=8.282 alpha=90.00 beta=90.00 gamma=120.00
Element x y z (fractional)
Cs 0.000 0.000 0.000
Cs 0.333 0.667 0.730
Cs 0.667 0.333 0.270
Na 0.333 0.667 0.152
Na 0.667 0.333 0.848
Ce 0.000 0.000 0.500
F 0.000 0.500 0.000
F 0.157 0.313 0.346
F 0.157 0.843 0.346
F 0.313 0.157 0.654
F 0.500 0.000 0.000
F 0.500 0.500 0.000
F 0.687 0.843 0.346
F 0.843 0.157 0.654
F 0.843 0.687 0.654